For RbMg6SbO8, a structure optimized by DFT (GGA-PBE) gives the calculated XRD peak list in this record (CuKα).
Intensities are scaled so that the largest is 100.

Principal peaks in the range 2θ = 10–90°, by angle:
(hkl)  d (Å)  2θ (°)  I (rel.)
0 0 2  4.511  19.68  31
1 1 0  3.287  27.13  26
1 1 1  3.089  28.91  46
0 0 3  3.007  29.71  22
1 1 2  2.657  33.74  63
2 0 0  2.324  38.74  100
0 0 4  2.254  39.99  54
2 0 3  1.839  49.57  20
2 2 0  1.644  55.94  31
2 0 4  1.619  56.89  57
3 1 2  1.398  66.94  21
2 2 4  1.328  70.95  25

Cell lengths 4.649, 4.649, 9.022 Å; angles 90.00, 90.00, 90.00 degrees
Sites, in units of the cell vectors:
Rb (0.000, 0.000, 0.000)
Mg (0.000, 0.000, 0.500)
Mg (0.000, 0.500, 0.271)
Mg (0.000, 0.500, 0.729)
Mg (0.500, 0.000, 0.271)
Mg (0.500, 0.000, 0.729)
Mg (0.500, 0.500, 0.500)
Sb (0.500, 0.500, 0.000)
O (0.000, 0.000, 0.284)
O (0.000, 0.000, 0.716)
O (0.000, 0.500, 0.000)
O (0.000, 0.500, 0.500)
O (0.500, 0.000, 0.000)
O (0.500, 0.000, 0.500)
O (0.500, 0.500, 0.265)
O (0.500, 0.500, 0.735)